# Li9Mn2Co5O16
Theoretical X-ray powder pattern, Cu Ka. Input: a crystal structure in the Materials Project, relaxed with GGA+U.
No peak broadening, texture or thermal motion is included.

Atomic structure:
a = 2.985 Å, b = 9.755 Å, c = 10.126 Å
α = 77.49°, β = 89.07°, γ = 87.88°
Fractional coordinates of all 32 atoms:
Li: 0.000 0.000 0.000
Li: 0.000 0.000 0.500
Li: 0.003 0.502 0.255
Li: 0.494 0.751 0.619
Li: 0.497 0.249 0.870
Li: 0.500 0.500 0.500
Li: 0.503 0.751 0.130
Li: 0.506 0.249 0.381
Li: 0.997 0.498 0.745
Mn: 0.000 0.252 0.127
Mn: 0.000 0.748 0.873
Co: 0.001 0.262 0.620
Co: 0.495 0.995 0.254
Co: 0.500 0.500 0.000
Co: 0.505 0.005 0.746
Co: 0.999 0.738 0.380
O: 0.003 0.639 0.546
O: 0.004 0.870 0.203
O: 0.012 0.877 0.698
O: 0.016 0.387 0.952
O: 0.463 0.125 0.072
O: 0.467 0.623 0.821
O: 0.470 0.125 0.573
O: 0.478 0.632 0.316
O: 0.522 0.368 0.684
O: 0.530 0.875 0.427
O: 0.533 0.377 0.179
O: 0.537 0.875 0.928
O: 0.984 0.613 0.048
O: 0.988 0.123 0.302
O: 0.996 0.130 0.797
O: 0.997 0.361 0.454

Principal peaks in the range 2θ = 10–90°, in order of rising 2θ:
Position (°2θ)	d_spacing	intensity	h k l
18.35	4.835	100	0 1 2
34.95	2.567	19	1 2 0
42.06	2.148	31	1 3 2
43.74	2.069	28	-1 3 2
44.83	2.022	25	0 2 -4
62.30	1.490	16	2 0 0